Starting from a cell relaxed with PBE, the PXRD pattern of LaSc2 was calculated for Cu Kα X-rays.
Neutral-atom scattering factors, no anomalous dispersion.

Largest 10 diffraction maxima, low angle first, 10° ≤ 2θ ≤ 80°:
h k l, Position (°2θ), I/Imax
1 0 0, 16.25, 205
1 0 2, 19.03, 70
0 1 3, 29.80, 340
2 0 0, 32.85, 236
1 1 3, 34.13, 1000
2 1 3, 44.94, 218
0 2 0, 52.89, 170
3 1 3, 59.47, 190
2 2 0, 63.68, 190
1 2 6, 64.46, 145

Structure:
a b c (Å): 5.453 3.462 17.986
angles (deg): 90.00 90.00 90.00
Space group Amm2 (No. 38)
Asymmetric unit:
La  0.000  0.000  0.000 [2 per cell]
La  0.000  0.000  0.329 [2 per cell]
Sc  0.000  0.000  0.666 [2 per cell]
Sc  0.500  0.000  0.112 [2 per cell]
Sc  0.500  0.000  0.446 [2 per cell]
Sc  0.500  0.000  0.769 [2 per cell]


Starting from a cell relaxed with PBE, the PXRD pattern of LaSc was calculated for Cu Kα X-rays.
Neutral-atom scattering factors, no anomalous dispersion.

Largest 10 diffraction maxima, low angle first, 10° ≤ 2θ ≤ 80°:
h k l, Position (°2θ), I/Imax
0 0 9, 23.54, 193
1 0 1, 29.54, 166
1 0 4, 31.29, 1000
0 0 12, 31.57, 291
0 1 5, 32.29, 193
0 1 8, 36.37, 635
1 1 0, 52.19, 232
1 0 16, 52.56, 181
0 2 4, 62.12, 133
1 1 12, 62.29, 236

Structure:
a b c (Å): 3.5053 3.5053 34.0077
angles (deg): 90.00 90.00 120.00
Space group R-3m (No. 166, hexagonal axes)
Asymmetric unit:
La  0.0000  0.0000  0.1204 [6 per cell]
Sc  0.0000  0.0000  0.3701 [6 per cell]


Starting from a cell relaxed with PBE, the PXRD pattern of LaSc2 was calculated for Cu Kα X-rays.
Neutral-atom scattering factors, no anomalous dispersion.

Largest 10 diffraction maxima, low angle first, 10° ≤ 2θ ≤ 80°:
h k l, Position (°2θ), I/Imax
0 0 2, 10.77, 122
0 0 3, 16.19, 216
1 0 0, 29.92, 344
0 0 6, 32.71, 222
1 0 3, 34.20, 1000
1 0 6, 44.91, 217
1 1 0, 53.11, 175
1 0 9, 59.33, 165
1 1 6, 63.79, 180
2 0 3, 64.70, 148

Structure:
a b c (Å): 3.4489 3.4489 16.4289
angles (deg): 90.00 90.00 120.00
Space group P-6m2 (No. 187)
Asymmetric unit:
La  0.0000  0.0000  0.1722 [2 per cell]
Sc  0.0000  0.0000  0.5000 [1 per cell]
Sc  0.6667  0.3333  0.0000 [1 per cell]
Sc  0.6667  0.3333  0.3486 [2 per cell]